[1]
Calculated powder XRD pattern
Compound: Tm4Ge8Pt
Radiation: copper Kα
Structure: the PBE geometry in Alexandria
No peak broadening, texture or thermal motion is included.

Main lines, low angle first (2θ = 10–90°):
| d [Å] | intensity |
| --- | --- |
| 3.570 | 11 |
| 2.791 | 15 |
| 2.557 | 26 |
| 2.517 | 100 |
| 2.257 | 15 |
| 2.025 | 26 |
| 1.981 | 21 |
| 1.566 | 12 |
| 1.416 | 14 |
| 1.245 | 11 |

a = 3.9614 Å, b = 4.0497 Å, c = 16.4830 Å
α = 90.00°, β = 90.00°, γ = 90.00°
Sites, in units of the cell vectors:
Tm 0.0000 0.0000 0.0000
Tm 0.0000 0.5000 0.4788
Tm 0.5000 0.0000 0.7876
Tm 0.5000 0.5000 0.2780
Ge 0.0000 0.0000 0.3224
Ge 0.0000 0.0000 0.6152
Ge 0.0000 0.5000 0.1362
Ge 0.0000 0.5000 0.8602
Ge 0.5000 0.0000 0.1422
Ge 0.5000 0.0000 0.4250
Ge 0.5000 0.5000 0.6139
Ge 0.5000 0.5000 0.9586
Pt 0.0000 0.5000 0.7125



[2]
Calculated powder XRD pattern
Compound: TmGe12Pt4
Radiation: copper Kα
Structure: the PBE geometry in Alexandria
No peak broadening, texture or thermal motion is included.

Main lines, low angle first (2θ = 10–90°):
| d [Å] | intensity |
| --- | --- |
| 4.352 | 42 |
| 3.077 | 100 |
| 2.752 | 80 |
| 2.326 | 40 |
| 1.946 | 67 |
| 1.777 | 83 |
| 1.707 | 35 |
| 1.376 | 30 |
| 1.256 | 17 |
| 1.163 | 20 |

a = 7.5379 Å, b = 7.5379 Å, c = 7.5379 Å
α = 109.47°, β = 109.47°, γ = 109.47°
Sites, in units of the cell vectors:
Tm 0.0000 0.0000 0.0000
Ge 0.1493 0.3527 0.5020
Ge 0.1493 0.6473 0.7966
Ge 0.2034 0.8507 0.3527
Ge 0.3527 0.2034 0.8507
Ge 0.3527 0.5020 0.1493
Ge 0.4980 0.8507 0.6473
Ge 0.5020 0.1493 0.3527
Ge 0.6473 0.4980 0.8507
Ge 0.6473 0.7966 0.1493
Ge 0.7966 0.1493 0.6473
Ge 0.8507 0.3527 0.2034
Ge 0.8507 0.6473 0.4980
Pt 0.0000 0.0000 0.5000
Pt 0.0000 0.5000 0.0000
Pt 0.5000 0.0000 0.0000
Pt 0.5000 0.5000 0.5000



[3]
Calculated powder XRD pattern
Compound: U2GePt9
Radiation: copper Kα
Structure: the PBE geometry in Alexandria
No peak broadening, texture or thermal motion is included.

Main lines, low angle first (2θ = 10–90°):
| d [Å] | intensity |
| --- | --- |
| 3.906 | 2 |
| 2.631 | 2 |
| 2.370 | 100 |
| 2.062 | 34 |
| 2.033 | 16 |
| 1.458 | 11 |
| 1.448 | 21 |
| 1.242 | 27 |
| 1.229 | 12 |
| 1.185 | 11 |

a = 4.1234 Å, b = 4.1234 Å, c = 12.2003 Å
α = 90.00°, β = 90.00°, γ = 90.00°
Sites, in units of the cell vectors:
U 0.0000 0.0000 0.1727
U 0.0000 0.0000 0.8273
Ge 0.0000 0.0000 0.5000
Pt 0.0000 0.5000 0.0000
Pt 0.0000 0.5000 0.3405
Pt 0.0000 0.5000 0.6595
Pt 0.5000 0.0000 0.0000
Pt 0.5000 0.0000 0.3405
Pt 0.5000 0.0000 0.6595
Pt 0.5000 0.5000 0.1718
Pt 0.5000 0.5000 0.5000
Pt 0.5000 0.5000 0.8282



[4]
Calculated powder XRD pattern
Compound: UGe2Pt4
Radiation: copper Kα
Structure: the PBE geometry in Alexandria
No peak broadening, texture or thermal motion is included.

Main lines, low angle first (2θ = 10–90°):
| d [Å] | intensity |
| --- | --- |
| 2.727 | 27 |
| 2.621 | 13 |
| 2.480 | 24 |
| 2.468 | 64 |
| 2.417 | 100 |
| 2.142 | 18 |
| 2.115 | 23 |
| 2.072 | 27 |
| 2.026 | 44 |
| 1.302 | 18 |

a = 16.4159 Å, b = 4.0517 Å, c = 7.5687 Å
α = 90.00°, β = 90.00°, γ = 90.00°
Sites, in units of the cell vectors:
U 0.1515 0.2500 0.0803
U 0.3485 0.7500 0.5803
U 0.6515 0.2500 0.4197
U 0.8485 0.7500 0.9197
Ge 0.0070 0.7500 0.2552
Ge 0.1844 0.2500 0.6164
Ge 0.3156 0.7500 0.1164
Ge 0.4930 0.2500 0.7552
Ge 0.5070 0.7500 0.2448
Ge 0.6844 0.2500 0.8836
Ge 0.8156 0.7500 0.3836
Ge 0.9930 0.2500 0.7448
Pt 0.0460 0.7500 0.9179
Pt 0.0540 0.2500 0.4283
Pt 0.1716 0.7500 0.3679
Pt 0.2104 0.7500 0.8265
Pt 0.2896 0.2500 0.3265
Pt 0.3284 0.2500 0.8679
Pt 0.4460 0.7500 0.9283
Pt 0.4540 0.2500 0.4179
Pt 0.5460 0.7500 0.5821
Pt 0.5540 0.2500 0.0717
Pt 0.6716 0.7500 0.1321
Pt 0.7104 0.7500 0.6735
Pt 0.7896 0.2500 0.1735
Pt 0.8284 0.2500 0.6321
Pt 0.9460 0.7500 0.5717
Pt 0.9540 0.2500 0.0821